Theoretical powder diffractogram of NaNd2CoO6 for Cu Kα X-rays, from a cell relaxed with GGA+U.
Lines closer than 0.1° are merged.

Top 10 peaks for 10° ≤ 2θ ≤ 80°, in order of falling intensity:
- 2θ 32.0, intensity 100, hkl 1 1 1
- 2θ 32.3, intensity 97, hkl 1 1 -3
- 2θ 22.2, intensity 55, hkl 1 1 -1
- 2θ 32.8, intensity 51, hkl 2 0 -2
- 2θ 47.0, intensity 47, hkl 0 0 4
- 2θ 46.8, intensity 40, hkl 0 2 3
- 2θ 32.5, intensity 40, hkl 0 2 1
- 2θ 23.0, intensity 37, hkl 0 0 2
- 2θ 30.3, intensity 34, hkl 0 2 0
- 2θ 45.3, intensity 33, hkl 2 2 -2

Structural model:
```
data_NaNd2CoO6
_space_group_name_H-M_alt 'P 1 21/c 1'
_space_group_IT_number 14
_cell_length_a 5.4603
_cell_length_b 5.8962
_cell_length_c 9.4146
_cell_angle_alpha 90.00
_cell_angle_beta 124.76
_cell_angle_gamma 90.00
loop_
_space_group_symop_operation_xyz
'x,y,z'
'-x,-y,-z'
'-x,y+1/2,-z+1/2'
'x,-y+1/2,z+1/2'
loop_
_atom_site_label
_atom_site_fract_x
_atom_site_fract_y
_atom_site_fract_z
Na1 0.0000 0.0000 0.0000
Nd1 0.2263 0.0733 0.7477
Co1 0.5000 0.0000 0.5000
O1 0.1709 0.1726 0.4535
O2 0.2703 0.7239 0.4386
O3 0.3786 0.0371 0.2764
```